# 1
For Li2AlAsSe4, a DFT-relaxed cell (PBE, Alexandria) gives the calculated powder diffractogram in this record (Cu Kα X-rays).
Kinematic intensities with the Lorentz-polarization factor, no thermal factor.

Peak list (6 most intense, 10 to 90 degrees two-theta, by angle)
2theta	Rel. int.
16.75	16
26.25	100
29.90	13
42.80	21
43.89	39
50.90	30

Crystal structure
Lattice parameters (Å, degrees): 5.976 5.976 7.090 114.83 114.85 90.01
Element x y z (fractional)
Li  0.000  0.000  0.000
Li  0.250  0.750  0.500
Al  0.750  0.250  0.500
As  0.500  0.500  0.000
Se  0.101  0.610  0.737
Se  0.389  0.364  0.263
Se  0.635  0.126  0.737
Se  0.873  0.899  0.263

***

# 2
For Mg4AlAs, a DFT-relaxed cell (PBE, Alexandria) gives the calculated powder diffractogram in this record (Cu Kα X-rays).
Kinematic intensities with the Lorentz-polarization factor, no thermal factor.

Peak list (6 most intense, 10 to 90 degrees two-theta, by angle)
2theta	Rel. int.
31.47	50
37.08	100
38.80	23
56.03	19
59.76	32
65.69	22

Crystal structure
Lattice parameters (Å, degrees): 5.686 5.686 5.686 60.00 60.00 60.00
Element x y z (fractional)
Mg  0.125  0.125  0.125
Mg  0.125  0.125  0.625
Mg  0.125  0.625  0.125
Mg  0.625  0.125  0.125
Al  0.750  0.750  0.750
As  0.500  0.500  0.500

***

# 3
For Mn2AlAs, a DFT-relaxed cell (PBE, Alexandria) gives the calculated powder diffractogram in this record (Cu Kα X-rays).
Kinematic intensities with the Lorentz-polarization factor, no thermal factor.

Peak list (6 most intense, 10 to 90 degrees two-theta, by angle)
2theta	Rel. int.
16.31	29
41.02	100
41.81	99
43.31	43
49.71	28
51.29	26

Crystal structure
Lattice parameters (Å, degrees): 2.821 3.562 5.482 90.00 97.44 90.00
Element x y z (fractional)
Mn  0.048  0.000  0.251
Mn  0.952  0.000  0.749
Al  0.500  0.500  0.000
As  0.500  0.500  0.500

***

# 4
For NaMn2AlAs, a DFT-relaxed cell (PBE, Alexandria) gives the calculated powder diffractogram in this record (Cu Kα X-rays).
Kinematic intensities with the Lorentz-polarization factor, no thermal factor.

Peak list (6 most intense, 10 to 90 degrees two-theta, by angle)
2theta	Rel. int.
17.08	100
18.88	45
25.57	50
34.56	52
38.29	77
52.53	59

Crystal structure
Lattice parameters (Å, degrees): 4.701 4.701 5.191 90.00 90.00 90.00
Element x y z (fractional)
Na  0.000  0.000  0.000
Mn  0.000  0.500  0.500
Mn  0.500  0.000  0.500
Al  0.500  0.500  0.000
As  0.000  0.000  0.500

***

# 5
For NaAlAsS4, a DFT-relaxed cell (PBE, Alexandria) gives the calculated powder diffractogram in this record (Cu Kα X-rays).
Kinematic intensities with the Lorentz-polarization factor, no thermal factor.

Peak list (6 most intense, 10 to 90 degrees two-theta, by angle)
2theta	Rel. int.
17.23	86
28.42	100
33.17	27
40.19	31
49.95	31
50.50	33

Crystal structure
Lattice parameters (Å, degrees): 6.346 6.346 8.795 90.00 90.00 90.00
Element x y z (fractional)
Na  0.000  0.000  0.000
Na  0.500  0.500  0.500
Al  0.000  0.000  0.500
Al  0.500  0.500  0.000
As  0.000  0.500  0.250
As  0.500  0.000  0.750
S  0.199  0.770  0.365
S  0.230  0.199  0.635
S  0.270  0.301  0.135
S  0.301  0.730  0.865
S  0.699  0.270  0.865
S  0.730  0.699  0.135
S  0.770  0.801  0.635
S  0.801  0.230  0.365

***

# 6
For TaNbAl2As, a DFT-relaxed cell (PBE, Alexandria) gives the calculated powder diffractogram in this record (Cu Kα X-rays).
Kinematic intensities with the Lorentz-polarization factor, no thermal factor.

Peak list (6 most intense, 10 to 90 degrees two-theta, by angle)
2theta	Rel. int.
19.10	66
27.14	100
33.16	85
38.77	72
47.22	45
55.32	51

Crystal structure
Lattice parameters (Å, degrees): 4.646 4.646 4.750 90.00 90.00 90.00
Element x y z (fractional)
Ta  0.000  0.000  0.000
Nb  0.500  0.500  0.000
Al  0.000  0.500  0.500
Al  0.500  0.000  0.500
As  0.000  0.000  0.500

***

# 7
For AlNi4As3, a DFT-relaxed cell (PBE, Alexandria) gives the calculated powder diffractogram in this record (Cu Kα X-rays).
Kinematic intensities with the Lorentz-polarization factor, no thermal factor.

Peak list (6 most intense, 10 to 90 degrees two-theta, by angle)
2theta	Rel. int.
28.18	26
33.60	85
46.57	100
49.88	72
61.49	14
70.63	27

Crystal structure
Lattice parameters (Å, degrees): 3.656 3.656 9.901 90.00 90.00 120.00
Element x y z (fractional)
Al  0.000  0.000  0.000
Ni  0.333  0.667  0.127
Ni  0.333  0.667  0.374
Ni  0.333  0.667  0.626
Ni  0.333  0.667  0.873
As  0.000  0.000  0.500
As  0.667  0.333  0.240
As  0.667  0.333  0.760

***

# 8
For AlAsO4, a DFT-relaxed cell (PBE, Alexandria) gives the calculated powder diffractogram in this record (Cu Kα X-rays).
Kinematic intensities with the Lorentz-polarization factor, no thermal factor.

Peak list (6 most intense, 10 to 90 degrees two-theta, by angle)
2theta	Rel. int.
19.95	20
21.41	23
25.33	100
37.32	15
47.53	15
64.22	20

Crystal structure
Lattice parameters (Å, degrees): 5.140 5.140 11.463 90.00 90.00 120.00
Element x y z (fractional)
Al  0.000  0.538  0.167
Al  0.462  0.462  0.500
Al  0.538  0.000  0.833
As  0.000  0.539  0.667
As  0.461  0.461  0.000
As  0.539  0.000  0.333
O  0.116  0.407  0.553
O  0.124  0.406  0.049
O  0.282  0.876  0.715
O  0.291  0.884  0.220
O  0.406  0.124  0.951
O  0.407  0.116  0.447
O  0.593  0.709  0.887
O  0.594  0.718  0.382
O  0.709  0.593  0.113
O  0.718  0.594  0.618
O  0.876  0.282  0.285
O  0.884  0.291  0.780

***

# 9
For AlAsO4, a DFT-relaxed cell (PBE, Alexandria) gives the calculated powder diffractogram in this record (Cu Kα X-rays).
Kinematic intensities with the Lorentz-polarization factor, no thermal factor.

Peak list (6 most intense, 10 to 90 degrees two-theta, by angle)
2theta	Rel. int.
20.73	100
24.30	8
33.95	33
40.70	15
53.53	14
61.62	9

Crystal structure
Lattice parameters (Å, degrees): 5.181 5.181 7.620 90.00 90.00 90.00
Element x y z (fractional)
Al  0.000  0.000  0.000
Al  0.500  0.500  0.500
As  0.000  0.500  0.250
As  0.500  0.000  0.750
O  0.126  0.743  0.125
O  0.243  0.374  0.375
O  0.257  0.126  0.875
O  0.374  0.757  0.625
O  0.626  0.243  0.625
O  0.743  0.874  0.875
O  0.757  0.626  0.375
O  0.874  0.257  0.125

***

# 10
For SmAlAsO5, a DFT-relaxed cell (PBE, Alexandria) gives the calculated powder diffractogram in this record (Cu Kα X-rays).
Kinematic intensities with the Lorentz-polarization factor, no thermal factor.

Peak list (6 most intense, 10 to 90 degrees two-theta, by angle)
2theta	Rel. int.
20.68	33
25.97	42
26.92	36
28.56	100
34.44	53
35.52	41

Crystal structure
Lattice parameters (Å, degrees): 5.569 5.569 7.500 107.36 107.36 100.97
Element x y z (fractional)
Sm  0.185  0.815  0.750
Sm  0.815  0.185  0.250
Al  0.500  0.500  0.000
Al  0.500  0.500  0.500
As  0.201  0.799  0.250
As  0.799  0.201  0.750
O  0.134  0.255  0.903
O  0.182  0.605  0.424
O  0.255  0.134  0.403
O  0.395  0.818  0.076
O  0.451  0.549  0.750
O  0.549  0.451  0.250
O  0.605  0.182  0.924
O  0.745  0.866  0.597
O  0.818  0.395  0.576
O  0.866  0.745  0.097

***

# 11
For AlZn2AsO6, a DFT-relaxed cell (PBE, Alexandria) gives the calculated powder diffractogram in this record (Cu Kα X-rays).
Kinematic intensities with the Lorentz-polarization factor, no thermal factor.

Peak list (6 most intense, 10 to 90 degrees two-theta, by angle)
2theta	Rel. int.
27.65	64
29.77	89
32.81	80
34.34	82
35.73	72
36.30	100

Crystal structure
Lattice parameters (Å, degrees): 6.513 6.513 5.070 95.62 95.62 84.09
Element x y z (fractional)
Al  0.085  0.915  0.750
Al  0.915  0.085  0.250
Zn  0.213  0.411  0.707
Zn  0.411  0.213  0.207
Zn  0.589  0.787  0.793
Zn  0.787  0.589  0.293
As  0.262  0.738  0.250
As  0.738  0.262  0.750
O  0.019  0.187  0.615
O  0.133  0.667  0.917
O  0.187  0.019  0.115
O  0.270  0.480  0.352
O  0.333  0.867  0.583
O  0.480  0.270  0.852
O  0.520  0.730  0.148
O  0.667  0.133  0.417
O  0.730  0.520  0.648
O  0.813  0.981  0.885
O  0.867  0.333  0.083
O  0.981  0.813  0.385